No. 1
For LaPmLuPu, a DFT-relaxed cell (PBE, Alexandria) gives the simulated PXRD pattern in this record (CuKα).

The 10 most intense peaks (10 to 80 degrees two-theta), in order of rising 2θ:
d/Å, intensity, hkl
4.625, 16, 1 1 1
4.005, 36, 2 0 0
2.832, 1000, 2 2 0
2.415, 10, 3 1 1
2.312, 12, 2 2 2
2.003, 187, 4 0 0
1.791, 18, 4 2 0
1.635, 396, 4 2 2
1.416, 123, 4 4 0
1.267, 171, 6 2 0

```
data_LaPmLuPu
_cell_length_a 8.0103
_cell_length_b 8.0103
_cell_length_c 8.0103
_cell_angle_alpha 90.00
_cell_angle_beta 90.00
_cell_angle_gamma 90.00
_space_group_name_H-M_alt 'F -4 3 m'
_space_group_IT_number 216
_space_group_name_Hall 'F -4 2 3'
loop_
_atom_site_label
_atom_site_fract_x
_atom_site_fract_y
_atom_site_fract_z
La1 0.0000 0.0000 0.0000
Pm1 0.0000 0.0000 0.5000
Lu1 0.2500 0.2500 0.7500
Pu1 0.2500 0.2500 0.2500
```

---

No. 2
For Li3Mg2, a DFT-relaxed cell (PBE, Alexandria) gives the simulated PXRD pattern in this record (CuKα).

The 10 most intense peaks (10 to 80 degrees two-theta), in order of rising 2θ:
d/Å, intensity, hkl
4.830, 1000, 2 2 0
3.505, 257, 0 8 0
2.678, 256, 1 3 1
2.573, 377, 4 0 0
2.502, 697, 1 5 1
2.462, 690, 2 10 0
2.292, 152, 1 7 1
2.061, 377, 3 5 1
1.609, 167, 5 5 1
1.554, 151, 1 15 1

```
data_Li3Mg2
_cell_length_a 10.2904
_cell_length_b 28.0385
_cell_length_c 2.9047
_cell_angle_alpha 90.00
_cell_angle_beta 90.00
_cell_angle_gamma 90.00
_space_group_name_H-M_alt 'F d d 2'
_space_group_IT_number 43
_space_group_name_Hall 'F 2 -2d'
loop_
_atom_site_label
_atom_site_fract_x
_atom_site_fract_y
_atom_site_fract_z
Li1 0.0000 0.0000 0.0000
Li2 0.0123 0.3995 0.0953
Mg1 0.0097 0.3013 0.6351
```

---

No. 3
For Sr4Pr3S8, a DFT-relaxed cell (PBE, Alexandria) gives the simulated PXRD pattern in this record (CuKα).

The 10 most intense peaks (10 to 80 degrees two-theta), in order of rising 2θ:
d/Å, intensity, hkl
6.847, 243, 1 1 0
4.198, 236, 0 2 1
3.419, 1000, 2 2 0
2.977, 762, 0 0 2
2.959, 750, 0 4 0
2.946, 740, 4 0 -2
2.099, 816, 0 4 2
2.088, 805, 4 4 -2
1.712, 282, 4 4 0
1.707, 280, 4 4 -4

```
data_Sr4Pr3S8
_cell_length_a 11.7851
_cell_length_b 11.8366
_cell_length_c 8.3567
_cell_angle_alpha 90.00
_cell_angle_beta 134.56
_cell_angle_gamma 90.00
_space_group_name_H-M_alt 'C 1 2/m 1'
_space_group_IT_number 12
loop_
_space_group_symop_operation_xyz
'x,y,z'
'-x,-y,-z'
'-x,y,-z'
'x,-y,z'
'x+1/2,y+1/2,z'
'-x+1/2,-y+1/2,-z'
'-x+1/2,y+1/2,-z'
'x+1/2,-y+1/2,z'
loop_
_atom_site_label
_atom_site_fract_x
_atom_site_fract_y
_atom_site_fract_z
Sr1 0.0000 0.0000 0.0000
Sr2 0.0000 0.5000 0.5000
Sr3 0.2500 0.2500 0.0000
Pr1 0.0000 0.5000 0.0000
Pr2 0.2500 0.2500 0.5000
S1 0.0000 0.2517 0.5000
S2 0.0000 0.2530 0.0000
S3 0.2383 0.5000 0.9912
S4 0.2457 0.5000 0.4915
```

---

No. 4
For ZrNb2VC4, a DFT-relaxed cell (PBE, Alexandria) gives the simulated PXRD pattern in this record (CuKα).

The 10 most intense peaks (10 to 80 degrees two-theta), in order of rising 2θ:
d/Å, intensity, hkl
2.592, 948, 1 0 4
2.574, 303, 0 0 12
2.513, 45, 0 1 5
2.241, 1000, 0 1 8
1.589, 323, 1 1 0
1.580, 295, 1 0 16
1.354, 124, 0 2 4
1.352, 241, 1 1 12
1.347, 112, 0 1 20
1.296, 154, 2 0 8

```
data_ZrNb2VC4
_cell_length_a 3.1770
_cell_length_b 3.1770
_cell_length_c 30.8840
_cell_angle_alpha 90.00
_cell_angle_beta 90.00
_cell_angle_gamma 120.00
_space_group_name_H-M_alt 'R 3 m'
_space_group_IT_number 160
_space_group_name_Hall 'R 3 -2"'
loop_
_atom_site_label
_atom_site_fract_x
_atom_site_fract_y
_atom_site_fract_z
Zr1 0.0000 0.0000 0.0000
Nb1 0.0000 0.0000 0.2456
Nb2 0.0000 0.0000 0.4939
V1 0.0000 0.0000 0.7486
C1 0.0000 0.0000 0.1191
C2 0.0000 0.0000 0.3788
C3 0.0000 0.0000 0.6204
C4 0.0000 0.0000 0.8696
```

---

No. 5
For Ce4TlBiC, a DFT-relaxed cell (PBE, Alexandria) gives the simulated PXRD pattern in this record (CuKα).

The 10 most intense peaks (10 to 80 degrees two-theta), in order of rising 2θ:
d/Å, intensity, hkl
3.488, 256, 2 0 0
3.206, 504, 2 2 0
2.717, 283, 0 6 0
2.650, 1000, 2 4 0
2.466, 559, 2 0 2
1.826, 323, 2 6 2
1.744, 197, 4 0 0
1.476, 183, 2 10 0
1.467, 151, 4 6 0
1.457, 324, 4 4 2

```
data_Ce4TlBiC
_cell_length_a 6.9737
_cell_length_b 16.2962
_cell_length_c 6.9778
_cell_angle_alpha 90.00
_cell_angle_beta 90.00
_cell_angle_gamma 90.00
_space_group_name_H-M_alt 'C m c m'
_space_group_IT_number 63
_space_group_name_Hall '-C 2c 2'
loop_
_atom_site_label
_atom_site_fract_x
_atom_site_fract_y
_atom_site_fract_z
Ce1 0.0000 0.0903 0.2500
Ce2 0.0000 0.4036 0.2500
Ce3 0.2500 0.2500 0.0000
Tl1 0.0000 0.1100 0.7500
Bi1 0.0000 0.3930 0.7500
C1 0.0000 0.2433 0.2500
```

---

No. 6
For La5PuN5, a DFT-relaxed cell (PBE, Alexandria) gives the simulated PXRD pattern in this record (CuKα).

The 10 most intense peaks (10 to 80 degrees two-theta), in order of rising 2θ:
d/Å, intensity, hkl
3.013, 1000, 3 1 0
2.617, 463, 0 2 0
2.593, 224, 2 0 2
1.851, 162, 4 2 -2
1.843, 238, 2 2 2
1.578, 155, 3 3 0
1.576, 147, 7 1 -2
1.566, 149, 5 1 2
1.508, 83, 2 2 -4
1.505, 82, 6 2 0

```
data_La5PuN5
_cell_length_a 11.6611
_cell_length_b 5.2406
_cell_length_c 7.3725
_cell_angle_alpha 90.00
_cell_angle_beta 108.90
_cell_angle_gamma 90.00
_space_group_name_H-M_alt 'C 1 2/m 1'
_space_group_IT_number 12
loop_
_space_group_symop_operation_xyz
'x,y,z'
'-x,-y,-z'
'-x,y,-z'
'x,-y,z'
'x+1/2,y+1/2,z'
'-x+1/2,-y+1/2,-z'
'-x+1/2,y+1/2,-z'
'x+1/2,-y+1/2,z'
loop_
_atom_site_label
_atom_site_fract_x
_atom_site_fract_y
_atom_site_fract_z
La1 0.0000 0.0000 0.0000
La2 0.1703 0.5000 0.3433
La3 0.1710 0.5000 0.8211
Pu1 0.0000 0.0000 0.5000
N1 0.0000 0.5000 0.5000
N2 0.1498 0.0000 0.8063
N3 0.1645 0.0000 0.3385
```

---

No. 7
For Ac2PrSn4Pd3, a DFT-relaxed cell (PBE, Alexandria) gives the simulated PXRD pattern in this record (CuKα).

The 10 most intense peaks (10 to 80 degrees two-theta), in order of rising 2θ:
d/Å, intensity, hkl
3.266, 109, 1 1 0
3.095, 377, 1 0 3
2.895, 1000, 1 1 2
2.589, 165, 1 0 4
2.310, 503, 2 0 0
2.199, 202, 1 0 5
1.851, 176, 2 1 3
1.633, 175, 2 2 0
1.593, 150, 2 1 5
1.422, 240, 3 1 2

```
data_Ac2PrSn4Pd3
_cell_length_a 4.6192
_cell_length_b 4.6192
_cell_length_c 12.5050
_cell_angle_alpha 90.00
_cell_angle_beta 90.00
_cell_angle_gamma 90.00
_space_group_name_H-M_alt 'P -4 m 2'
_space_group_IT_number 115
loop_
_space_group_symop_operation_xyz
'x,y,z'
'y,-x,-z'
'-x,-y,z'
'-y,x,-z'
'-x,y,z'
'-y,-x,-z'
'x,-y,z'
'y,x,-z'
loop_
_atom_site_label
_atom_site_fract_x
_atom_site_fract_y
_atom_site_fract_z
Ac1 0.0000 0.5000 0.2264
Pr1 0.0000 0.0000 0.5000
Sn1 0.0000 0.0000 0.0000
Sn2 0.0000 0.5000 0.6651
Sn3 0.5000 0.5000 0.0000
Pd1 0.0000 0.5000 0.8800
Pd2 0.5000 0.5000 0.5000
```

---

No. 8
For RbMnBrCl2, a DFT-relaxed cell (PBE, Alexandria) gives the simulated PXRD pattern in this record (CuKα).

The 10 most intense peaks (10 to 80 degrees two-theta), in order of rising 2θ:
d/Å, intensity, hkl
3.710, 182, 1 1 2
3.558, 652, 2 0 0
2.986, 1000, 2 0 2
2.746, 563, 0 0 4
2.516, 777, 2 2 0
2.174, 345, 2 0 4
1.855, 593, 2 2 4
1.779, 230, 4 0 0
1.493, 252, 4 0 4
1.377, 212, 4 2 4

```
data_RbMnBrCl2
_cell_length_a 7.1169
_cell_length_b 7.1169
_cell_length_c 10.9832
_cell_angle_alpha 90.00
_cell_angle_beta 90.00
_cell_angle_gamma 90.00
_space_group_name_H-M_alt 'I 4/m c m'
_space_group_IT_number 140
_space_group_name_Hall '-I 4 2c'
loop_
_atom_site_label
_atom_site_fract_x
_atom_site_fract_y
_atom_site_fract_z
Rb1 0.0000 0.5000 0.2500
Mn1 0.0000 0.0000 0.0000
Br1 0.0000 0.0000 0.2500
Cl1 0.2104 0.2896 0.0000
```